# 1
# SmGaPd2
Computed powder diffractogram, Cu Ka. Input: a GGA-PBE-relaxed structure.
Neutral-atom scattering factors, no anomalous dispersion.

The 10 most intense peaks (15° ≤ 2θ ≤ 90°), by angle:
hkl 2 1 1, 31.21 deg, d 2.866, I = 48
hkl 1 2 1, 31.78 deg, d 2.816, I = 39
hkl 1 0 2, 33.70 deg, d 2.660, I = 30
hkl 2 2 0, 34.61 deg, d 2.592, I = 75
hkl 1 1 2, 36.00 deg, d 2.495, I = 100
hkl 2 2 1, 38.15 deg, d 2.359, I = 52
hkl 3 0 1, 39.46 deg, d 2.283, I = 62
hkl 1 2 2, 42.27 deg, d 2.138, I = 33
hkl 1 3 1, 42.68 deg, d 2.119, I = 44
hkl 3 3 2, 62.92 deg, d 1.477, I = 29

Atomic structure:
a b c (Å): 7.4788 7.1908 5.6915
angles (deg): 90.00 90.00 90.00
Fractional coordinates of all 16 atoms:
Sm1 0.0318 0.2500 0.1452
Sm2 0.4682 0.7500 0.6452
Sm3 0.5318 0.2500 0.3548
Sm4 0.9682 0.7500 0.8548
Ga1 0.1168 0.7500 0.3552
Ga2 0.3832 0.2500 0.8552
Ga3 0.6168 0.7500 0.1448
Ga4 0.8832 0.2500 0.6448
Pd1 0.1809 0.0523 0.5890
Pd2 0.1809 0.4477 0.5890
Pd3 0.3191 0.5523 0.0890
Pd4 0.3191 0.9477 0.0890
Pd5 0.6809 0.0523 0.9110
Pd6 0.6809 0.4477 0.9110
Pd7 0.8191 0.5523 0.4110
Pd8 0.8191 0.9477 0.4110

---

# 2
# SmGa2Pd9
Computed powder diffractogram, Cu Ka. Input: a GGA-PBE-relaxed structure.
Neutral-atom scattering factors, no anomalous dispersion.

The 10 most intense peaks (15° ≤ 2θ ≤ 90°), by angle:
hkl 1 1 2, 34.80 deg, d 2.578, I = 3
hkl 1 1 3, 38.90 deg, d 2.315, I = 100
hkl 2 0 0, 44.69 deg, d 2.028, I = 35
hkl 0 0 6, 46.27 deg, d 1.962, I = 13
hkl 2 2 0, 65.04 deg, d 1.434, I = 11
hkl 2 0 6, 66.29 deg, d 1.410, I = 18
hkl 1 1 8, 72.15 deg, d 1.309, I = 2
hkl 3 1 3, 78.45 deg, d 1.219, I = 25
hkl 1 1 9, 80.75 deg, d 1.190, I = 8
hkl 2 2 6, 83.50 deg, d 1.158, I = 9

Atomic structure:
a b c (Å): 4.0559 4.0559 11.7717
angles (deg): 90.00 90.00 90.00
Fractional coordinates of all 12 atoms:
Sm1 0.0000 0.0000 0.0000
Ga1 0.0000 0.0000 0.3438
Ga2 0.0000 0.0000 0.6562
Pd1 0.0000 0.5000 0.1844
Pd2 0.0000 0.5000 0.5000
Pd3 0.0000 0.5000 0.8156
Pd4 0.5000 0.0000 0.1844
Pd5 0.5000 0.0000 0.5000
Pd6 0.5000 0.0000 0.8156
Pd7 0.5000 0.5000 0.0000
Pd8 0.5000 0.5000 0.3408
Pd9 0.5000 0.5000 0.6592

---

# 3
# SmGa4Pd6
Computed powder diffractogram, Cu Ka. Input: a GGA-PBE-relaxed structure.
Neutral-atom scattering factors, no anomalous dispersion.

The 10 most intense peaks (15° ≤ 2θ ≤ 90°), by angle:
hkl 1 1 1, 33.33 deg, d 2.688, I = 23
hkl 2 0 1, 36.26 deg, d 2.477, I = 100
hkl 2 1 0, 37.29 deg, d 2.411, I = 34
hkl 2 1 1, 44.05 deg, d 2.056, I = 33
hkl 0 0 2, 46.16 deg, d 1.966, I = 25
hkl 3 0 1, 48.67 deg, d 1.871, I = 13
hkl 2 2 0, 49.49 deg, d 1.842, I = 25
hkl 2 1 2, 60.78 deg, d 1.524, I = 16
hkl 2 2 2, 69.99 deg, d 1.344, I = 17
hkl 5 0 1, 78.91 deg, d 1.213, I = 22

Atomic structure:
a b c (Å): 7.3670 7.3670 3.9328
angles (deg): 90.00 90.00 120.00
Fractional coordinates of all 11 atoms:
Sm1 0.0000 0.0000 0.0000
Ga1 0.3333 0.6667 0.0000
Ga2 0.3984 0.1992 0.5000
Ga3 0.8008 0.1992 0.5000
Ga4 0.8008 0.6016 0.5000
Pd1 0.1983 0.3967 0.5000
Pd2 0.1983 0.8017 0.5000
Pd3 0.5337 0.0675 0.0000
Pd4 0.5337 0.4663 0.0000
Pd5 0.6033 0.8017 0.5000
Pd6 0.9325 0.4663 0.0000